ScP2O2: computed powder diffractogram (CuKα), based on the PBE geometry in the Materials Project.
Kinematic intensities with the Lorentz-polarization factor, no thermal factor.

Cell and atoms:
```
data_ScP2O2
_symmetry_space_group_name_H-M 'I 41/a m d'
_symmetry_Int_Tables_number 141
_cell_length_a 9.212
_cell_length_b 9.212
_cell_length_c 14.239
_cell_angle_alpha 90.00
_cell_angle_beta 90.00
_cell_angle_gamma 90.00
loop_
_symmetry_equiv_pos_as_xyz
'x,y,z'
'-x,-y,-z'
'-y+1/4,x+3/4,z+1/4'
'y+1/4,-x+3/4,-z+1/4'
'-x+1/2,-y,z+1/2'
'x+1/2,y,-z+1/2'
'y+1/4,-x+1/4,z+3/4'
'-y+1/4,x+1/4,-z+3/4'
'x,-y,-z'
'-x,y,z'
'-y+1/4,-x+1/4,-z+3/4'
'y+1/4,x+1/4,z+3/4'
'-x+1/2,y,-z+1/2'
'x+1/2,-y,z+1/2'
'y+1/4,x+3/4,-z+1/4'
'-y+1/4,-x+3/4,z+1/4'
'x+1/2,y+1/2,z+1/2'
'-x+1/2,-y+1/2,-z+1/2'
'-y+3/4,x+1/4,z+3/4'
'y+3/4,-x+1/4,-z+3/4'
'-x,-y+1/2,z'
'x,y+1/2,-z'
'y+3/4,-x+3/4,z+1/4'
'-y+3/4,x+3/4,-z+1/4'
'x+1/2,-y+1/2,-z+1/2'
'-x+1/2,y+1/2,z+1/2'
'-y+3/4,-x+3/4,-z+1/4'
'y+3/4,x+3/4,z+1/4'
'-x,y+1/2,-z'
'x,-y+1/2,z'
'y+3/4,x+1/4,-z+3/4'
'-y+3/4,-x+1/4,z+3/4'
loop_
_atom_site_label
_atom_site_fract_x
_atom_site_fract_y
_atom_site_fract_z
Sc1 0.000 0.000 0.000
P1 0.000 0.104 0.816
O1 0.000 0.055 0.140
```

Most intense lines, 2θ = 10–90°, low angle first:
| index | 2θ (°) | I (rel.) |
| --- | --- | --- |
| 1 0 1 | 11.44 | 100 |
| 2 1 1 | 22.47 | 5 |
| 2 2 0 | 27.38 | 13 |
| 3 2 1 | 35.70 | 7 |
| 3 1 4 | 40.01 | 4 |
| 2 0 6 | 42.87 | 7 |
| 4 1 3 | 44.84 | 4 |
| 4 2 2 | 45.86 | 4 |
| 2 1 7 | 49.99 | 3 |
| 3 0 7 | 54.03 | 3 |